Record 1
Diffraction record for U3Nb. The powder diffraction line list is computed, not measured: it uses a cell relaxed with PBE and Cu Kα (λ = 1.5418 Å).
No peak broadening, texture or thermal motion is included.

Top 12 peaks for 10° ≤ 2θ ≤ 90°, most intense first:
index  d/Å  2θ/deg  I/Imax
2 0 1  2.325  38.73  100.0
0 0 2  2.738  32.71  36.0
2 0 3  1.488  62.42  25.6
2 0 0  2.568  34.94  22.1
2 2 2  1.304  72.50  21.1
2 0 2  1.873  48.61  17.7
1 0 1  3.746  23.75  15.9
2 2 0  1.483  62.66  15.8
4 0 1  1.250  76.15  13.6
0 0 4  1.369  68.55  4.5
2 0 4  1.208  79.31  4.5
2 1 2  1.584  58.26  4.0

Structure:
a = 5.931 Å, b = 5.931 Å, c = 5.475 Å
α = 90.00°, β = 90.00°, γ = 120.00°
Fractional coordinates of all 8 atoms:
1 U 0.177 0.354 0.250
2 U 0.177 0.823 0.250
3 U 0.354 0.177 0.750
4 U 0.646 0.823 0.250
5 U 0.823 0.177 0.750
6 U 0.823 0.646 0.750
7 Nb 0.333 0.667 0.750
8 Nb 0.667 0.333 0.250


Record 2
Diffraction record for UNb. The powder diffraction line list is computed, not measured: it uses a cell relaxed with PBE and Cu Kα (λ = 1.5418 Å).
No peak broadening, texture or thermal motion is included.

Top 12 peaks for 10° ≤ 2θ ≤ 90°, most intense first:
index  d/Å  2θ/deg  I/Imax
1 1 1  2.374  37.90  100.0
0 2 0  2.472  36.35  28.0
0 0 2  2.422  37.12  26.5
0 0 1  4.845  18.31  23.2
1 3 1  1.408  66.42  19.8
0 2 2  1.730  52.92  19.3
1 1 3  1.389  67.42  19.0
1 1 0  2.724  32.88  12.0
2 2 2  1.187  81.00  11.7
2 0 2  1.353  69.46  10.4
2 2 0  1.362  68.96  8.9
2 0 0  1.632  56.38  8.0

Structure:
a = 3.264 Å, b = 4.944 Å, c = 4.845 Å
α = 90.00°, β = 90.00°, γ = 90.00°
Fractional coordinates of all 4 atoms:
1 U 0.000 0.000 0.000
2 U 0.500 0.500 0.000
3 Nb 0.000 0.500 0.500
4 Nb 0.500 0.000 0.500


Record 3
Diffraction record for ZrUNb. The powder diffraction line list is computed, not measured: it uses a cell relaxed with PBE and Cu Kα (λ = 1.5418 Å).
No peak broadening, texture or thermal motion is included.

Top 12 peaks for 10° ≤ 2θ ≤ 90°, most intense first:
index  d/Å  2θ/deg  I/Imax
1 1 3  2.394  37.56  100.0
0 0 2  7.409  11.94  39.2
0 2 0  2.576  34.82  31.1
0 0 6  2.470  36.38  26.3
1 3 3  1.450  64.24  21.0
0 2 6  1.783  51.24  19.8
1 1 9  1.411  66.24  17.4
1 1 1  2.692  33.28  13.8
2 2 6  1.197  80.17  11.0
2 2 0  1.369  68.56  8.8
1 3 9  1.116  87.43  8.6
1 1 5  2.011  45.08  8.4

Structure:
a = 3.231 Å, b = 5.153 Å, c = 14.819 Å
α = 90.00°, β = 90.00°, γ = 90.00°
Fractional coordinates of all 12 atoms:
1 Zr 0.000 0.000 0.000
2 Zr 0.000 0.500 0.500
3 Zr 0.500 0.000 0.500
4 Zr 0.500 0.500 0.000
5 U 0.000 0.000 0.676
6 U 0.000 0.500 0.176
7 U 0.500 0.000 0.176
8 U 0.500 0.500 0.676
9 Nb 0.000 0.000 0.329
10 Nb 0.000 0.500 0.829
11 Nb 0.500 0.000 0.829
12 Nb 0.500 0.500 0.329


Record 4
Diffraction record for NbV. The powder diffraction line list is computed, not measured: it uses a cell relaxed with PBE and Cu Kα (λ = 1.5418 Å).
No peak broadening, texture or thermal motion is included.

Top 12 peaks for 10° ≤ 2θ ≤ 90°, most intense first:
index  d/Å  2θ/deg  I/Imax
1 1 1  2.252  40.03  100.0
0 2 0  2.349  38.32  28.4
0 0 2  2.113  42.80  20.5
1 3 1  1.337  70.44  17.3
0 2 2  1.571  58.78  15.3
1 1 3  1.245  76.52  13.5
0 0 1  4.225  21.03  12.8
2 2 2  1.126  86.40  9.9
2 2 0  1.331  70.78  8.5
2 0 0  1.615  57.01  8.4
1 1 0  2.662  33.67  7.9
2 0 2  1.283  73.85  7.5

Structure:
a = 3.231 Å, b = 4.698 Å, c = 4.225 Å
α = 90.00°, β = 90.00°, γ = 90.00°
Fractional coordinates of all 4 atoms:
1 Nb 0.000 0.000 0.000
2 Nb 0.500 0.500 0.000
3 V 0.000 0.500 0.500
4 V 0.500 0.000 0.500


Record 5
Diffraction record for NbZn2. The powder diffraction line list is computed, not measured: it uses a cell relaxed with PBE and Cu Kα (λ = 1.5418 Å).
No peak broadening, texture or thermal motion is included.

Top 12 peaks for 10° ≤ 2θ ≤ 90°, most intense first:
index  d/Å  2θ/deg  I/Imax
1 1 4  2.155  41.92  100.0
1 0 6  2.318  38.86  65.4
2 0 2  2.121  42.63  62.3
1 1 0  2.535  35.41  40.1
2 2 0  1.268  74.91  25.4
2 1 6  1.418  65.87  22.5
3 0 4  1.378  68.02  22.5
2 0 10  1.312  71.94  21.1
2 0 1  2.176  41.50  19.1
2 0 3  2.037  44.48  16.2
1 0 7  2.064  43.86  15.8
0 0 8  2.047  44.26  14.0

Structure:
a = 5.071 Å, b = 5.071 Å, c = 16.372 Å
α = 90.00°, β = 90.00°, γ = 120.00°
Fractional coordinates of all 24 atoms:
1 Nb 0.000 0.000 0.091
2 Nb 0.000 0.000 0.409
3 Nb 0.000 0.000 0.591
4 Nb 0.000 0.000 0.909
5 Nb 0.333 0.667 0.157
6 Nb 0.333 0.667 0.343
7 Nb 0.667 0.333 0.657
8 Nb 0.667 0.333 0.843
9 Zn 0.000 0.500 0.000
10 Zn 0.000 0.500 0.500
11 Zn 0.161 0.321 0.750
12 Zn 0.161 0.839 0.750
13 Zn 0.321 0.161 0.250
14 Zn 0.333 0.667 0.627
15 Zn 0.333 0.667 0.873
16 Zn 0.500 0.000 0.000
17 Zn 0.500 0.000 0.500
18 Zn 0.500 0.500 0.000
19 Zn 0.500 0.500 0.500
20 Zn 0.667 0.333 0.127
21 Zn 0.667 0.333 0.373
22 Zn 0.679 0.839 0.750
23 Zn 0.839 0.161 0.250
24 Zn 0.839 0.679 0.250


Record 6
Diffraction record for ZrNb. The powder diffraction line list is computed, not measured: it uses a cell relaxed with PBE and Cu Kα (λ = 1.5418 Å).
No peak broadening, texture or thermal motion is included.

Top 8 peaks for 10° ≤ 2θ ≤ 90°, most intense first:
index  d/Å  2θ/deg  I/Imax
1 1 1  2.436  36.90  100.0
2 2 0  1.406  66.48  28.3
0 2 2  1.723  53.15  11.4
2 2 2  1.217  78.58  8.7
2 0 0  1.720  53.25  5.6
2 0 2  1.405  66.56  5.6
0 4 2  1.091  89.97  2.5
0 4 0  1.220  78.40  1.7

Structure:
a = 3.440 Å, b = 4.879 Å, c = 4.869 Å
α = 90.00°, β = 90.00°, γ = 90.00°
Fractional coordinates of all 4 atoms:
1 Zr 0.000 0.000 0.000
2 Zr 0.500 0.500 0.000
3 Nb 0.000 0.500 0.500
4 Nb 0.500 0.000 0.500